Structure and simulated powder XRD pattern of V6PbO15 (DFT lattice parameters and positions (PBE+U); Cu Kα X-rays).
Peak positions follow from Bragg's law for the DFT cell and can differ from measured ones.

Top 10 peaks for 10 to 90 degrees two-theta, by angle:
12.29°, d 7.200, I = 75.3; 18.29°, d 4.851, I = 92.6; 22.69°, d 3.919, I = 60.2; 27.05°, d 3.296, I = 100.0; 28.90°, d 3.090, I = 90.9; 29.52°, d 3.026, I = 64.3; 29.69°, d 3.009, I = 56.5; 30.12°, d 2.967, I = 64.2; 31.81°, d 2.813, I = 61.6; 48.81°, d 1.866, I = 49.5

Atomic structure:
Cell: 8.0597 8.0597 10.3686 Å, 110.07 110.07 26.77°
Element x y z (fractional)
V: 0.0000 0.0000 0.0000
V: 0.3293 0.3293 0.7955
V: 0.3914 0.3914 0.4911
V: 0.5419 0.5419 0.7888
V: 0.7811 0.7811 0.0082
V: 0.9537 0.9537 0.3090
Pb: 0.6728 0.6728 0.3062
O: 0.0322 0.0322 0.8292
O: 0.0660 0.0660 0.3703
O: 0.1034 0.1034 0.1269
O: 0.2289 0.2289 0.6799
O: 0.2747 0.2747 0.4214
O: 0.2980 0.2980 0.9726
O: 0.4009 0.4009 0.6888
O: 0.4283 0.4283 0.3246
O: 0.4816 0.4816 0.9522
O: 0.5411 0.5411 0.6290
O: 0.6648 0.6648 0.8967
O: 0.7736 0.7736 0.1654
O: 0.8497 0.8497 0.8548
O: 0.9156 0.9156 0.4697
O: 0.9272 0.9272 0.1240